Diffraction record for ZnS. The powder XRD pattern is calculated, not measured: it uses a structure optimized by DFT (PBE) and a wavelength of 1.5418 Å.
No peak broadening, texture or thermal motion is included.

Cell and atoms:
```
data_ZnS
_cell_length_a 3.8541
_cell_length_b 3.8541
_cell_length_c 31.4875
_cell_angle_alpha 90.00
_cell_angle_beta 90.00
_cell_angle_gamma 120.00
_space_group_name_H-M_alt 'P 63 m c'
_space_group_IT_number 186
_space_group_name_Hall 'P 6c -2c'
loop_
_atom_site_label
_atom_site_type_symbol
_atom_site_fract_x
_atom_site_fract_y
_atom_site_fract_z
Zn1 Zn 0.0000 0.0000 0.0000
Zn2 Zn 0.0000 0.0000 0.2000
Zn3 Zn 0.3333 0.6667 0.1000
Zn4 Zn 0.3333 0.6667 0.4000
Zn5 Zn 0.3333 0.6667 0.8000
S1 S 0.0000 0.0000 0.0750
S2 S 0.0000 0.0000 0.2750
S3 S 0.3333 0.6667 0.1751
S4 S 0.3333 0.6667 0.4750
S5 S 0.3333 0.6667 0.8750
```

Top 10 peaks for 2θ from 10° to 90°, in order of rising 2θ:
- 2θ = 27.3°, rel. 23
- 2θ = 28.1°, rel. 100
- 2θ = 28.3°, rel. 70
- 2θ = 29.1°, rel. 71
- 2θ = 31.8°, rel. 20
- 2θ = 46.3°, rel. 37
- 2θ = 47.2°, rel. 86
- 2θ = 48.8°, rel. 36
- 2θ = 54.1°, rel. 18
- 2θ = 55.9°, rel. 57